Theoretical powder diffraction line list of Ti3TlH for Cu Kα X-rays, from a DFT-relaxed cell (GGA-PBE, Alexandria).
Peak positions follow from Bragg's law for the DFT cell and can differ from measured ones.

Top 10 peaks for 2θ = 10–90°, low angle first:
13.62 deg, rel. 49, (0 1 0)
26.14 deg, rel. 26, (1 0 1)
27.44 deg, rel. 12, (0 2 0)
29.59 deg, rel. 44, (1 1 1)
37.31 deg, rel. 54, (2 0 0)
38.26 deg, rel. 100, (1 2 1)
39.89 deg, rel. 17, (0 1 2)
46.93 deg, rel. 12, (2 2 0)
67.89 deg, rel. 26, (3 2 -1)
69.79 deg, rel. 16, (2 4 0)

Structure:
```
Ti3TlH
1.0
4.8168 0.0000 0.0000
0.0000 6.5009 0.0000
-0.0092 0.0000 4.8245
Ti Tl H
6 2 2
direct
0.2487 0.0000 0.2468 Ti
0.2500 0.7644 0.7664 Ti
0.2514 0.5288 0.2467 Ti
0.7486 0.5288 0.7533 Ti
0.7500 0.7644 0.2336 Ti
0.7513 0.0000 0.7532 Ti
0.2500 0.2643 0.7495 Tl
0.7500 0.2643 0.2505 Tl
0.0000 0.6570 0.5000 H
0.5000 0.8705 0.5000 H
```